Starting from DFT lattice parameters and positions (GGA-PBE), the X-ray diffraction stick pattern of Rb2YAgCl6 was simulated for a wavelength of 1.5418 Å.
No peak broadening, texture or thermal motion is included.

Principal peaks in the range 15° ≤ 2θ ≤ 90°, by intensity:
2theta, Rel. int.
23.4, 100.0
33.3, 76.9
47.8, 51.5
41.0, 45.7
64.8, 23.6
79.6, 21.6
53.8, 20.8
59.4, 17.1

Cell and atoms:
```
Rb2YAgCl6
1.0
0.000 5.387 5.387
5.387 0.000 5.387
5.387 5.387 0.000
Rb Y Ag Cl
2 1 1 6
Cartesian
2.693 2.693 2.693 Rb
8.080 8.080 8.080 Rb
0.000 0.000 0.000 Y
5.387 5.387 5.387 Ag
5.387 5.387 2.639 Cl
5.387 2.639 5.387 Cl
8.134 5.387 5.387 Cl
2.639 5.387 5.387 Cl
5.387 8.134 5.387 Cl
5.387 5.387 8.134 Cl
```

Starting from DFT lattice parameters and positions (GGA-PBE), the X-ray diffraction stick pattern of NaPu was simulated for a wavelength of 1.5418 Å.
No peak broadening, texture or thermal motion is included.

Principal peaks in the range 15° ≤ 2θ ≤ 90°, by intensity:
2theta, Rel. int.
31.5, 100.0
17.4, 99.1
38.0, 94.3
35.3, 80.4
20.8, 67.4
33.6, 65.9
19.9, 53.6
22.6, 51.6

Cell and atoms:
```
NaPu
1.0
5.495 0.000 0.000
0.492 6.780 0.000
1.776 1.039 8.903
Na Pu
6 6
Cartesian
1.141 3.448 2.373 Na
3.011 2.132 8.326 Na
3.828 5.629 7.766 Na
3.935 2.190 1.137 Na
4.752 5.687 0.577 Na
6.622 4.371 6.530 Na
2.210 1.465 5.010 Pu
2.291 6.801 3.056 Pu
3.548 5.089 4.139 Pu
4.215 2.730 4.764 Pu
5.472 1.018 5.846 Pu
5.553 6.354 3.892 Pu
```

Starting from DFT lattice parameters and positions (GGA-PBE), the X-ray diffraction stick pattern of BaPO3F was simulated for a wavelength of 1.5418 Å.
No peak broadening, texture or thermal motion is included.

Principal peaks in the range 15° ≤ 2θ ≤ 90°, by intensity:
2theta, Rel. int.
25.4, 100.0
28.1, 77.7
26.0, 68.0
30.4, 57.1
22.0, 52.5
41.1, 51.4
31.1, 51.4
40.9, 49.7

Cell and atoms:
```
BaPO3F
1.0
9.409 0.000 0.000
0.000 8.844 0.000
-2.339 0.000 9.078
Ba P O F
8 8 24 8
Cartesian
-0.189 1.561 1.746 Ba
-1.359 2.861 6.285 Ba
2.214 6.001 7.175 Ba
3.384 7.265 2.636 Ba
3.686 1.579 6.443 Ba
4.855 2.843 1.904 Ba
8.428 5.984 2.793 Ba
7.259 7.283 7.333 Ba
2.016 5.065 0.286 P
0.846 8.202 4.825 P
0.318 0.500 8.897 P
1.488 3.922 4.358 P
5.582 4.923 4.721 P
6.751 8.344 0.182 P
6.223 0.643 4.254 P
5.054 3.780 8.793 P
-1.067 0.819 8.324 O
0.103 3.603 3.785 O
1.112 6.079 0.964 O
-0.058 7.187 5.503 O
-0.463 5.023 7.841 O
0.707 8.244 3.302 O
2.026 5.289 3.998 O
0.856 7.977 8.537 O
2.807 0.883 1.288 O
1.637 3.539 5.827 O
3.459 5.056 0.773 O
2.289 8.211 5.312 O
4.780 0.634 3.767 O
3.611 3.789 8.306 O
5.432 5.305 3.251 O
4.263 7.961 7.790 O
6.214 0.867 0.541 O
5.044 3.555 5.081 O
6.363 0.600 5.776 O
7.532 3.822 1.237 O
7.127 1.657 3.575 O
5.957 2.765 8.114 O
6.967 5.241 5.293 O
8.137 8.025 0.754 O
0.268 0.818 5.291 F
1.438 3.604 0.752 F
1.279 1.588 8.113 F
2.449 2.834 3.573 F
4.621 6.010 5.505 F
5.791 7.256 0.966 F
5.632 5.240 8.327 F
6.801 8.026 3.788 F
```

Starting from DFT lattice parameters and positions (GGA-PBE), the X-ray diffraction stick pattern of PrEuDySiO6 was simulated for a wavelength of 1.5418 Å.
No peak broadening, texture or thermal motion is included.

Principal peaks in the range 15° ≤ 2θ ≤ 90°, by intensity:
2theta, Rel. int.
31.7, 100.0
56.4, 38.9
45.4, 29.2
75.2, 17.9
66.1, 17.7
19.2, 14.0
37.3, 11.7
39.0, 7.3

Cell and atoms:
```
PrEuDySiO6
1.0
0.000 3.997 3.997
3.997 0.000 3.997
3.997 3.997 0.000
Pr Eu Dy Si O
1 1 1 1 6
Cartesian
0.000 0.000 0.000 Pr
3.997 3.997 3.997 Eu
5.995 5.995 5.995 Dy
1.998 1.998 1.998 Si
1.998 1.998 0.194 O
1.998 0.194 1.998 O
3.803 1.998 1.998 O
0.194 1.998 1.998 O
1.998 3.803 1.998 O
1.998 1.998 3.803 O
```

Starting from DFT lattice parameters and positions (GGA-PBE), the X-ray diffraction stick pattern of ReN2 was simulated for a wavelength of 1.5418 Å.
No peak broadening, texture or thermal motion is included.

Principal peaks in the range 15° ≤ 2θ ≤ 90°, by intensity:
2theta, Rel. int.
37.2, 100.0
31.1, 68.7
31.9, 57.1
38.4, 45.7
29.1, 43.4
51.6, 42.5
26.2, 40.1
58.6, 29.7

Cell and atoms:
```
ReN2
1.0
3.421 -1.416 0.000
3.421 1.416 0.000
-0.607 0.000 5.750
Re N
2 4
Cartesian
1.055 0.000 1.328 Re
5.180 0.000 4.421 Re
0.348 0.000 4.971 N
2.435 0.000 3.041 N
3.800 0.000 2.708 N
5.887 0.000 0.779 N
```